1.
Structure and theoretical powder diffraction line list of Li3P3W2O12 (a DFT-relaxed cell (GGA+U, Alexandria); Cu Ka).
No peak broadening, texture or thermal motion is included.

Atomic structure:
```
data_Li3P3W2O12
_chemical_formula_sum 'Li18 P18 W12 O72'
_space_group_name_H-M_alt 'R -3'
_space_group_IT_number 148
_space_group_name_Hall '-R 3'
_cell_length_a 8.6564
_cell_length_b 8.6564
_cell_length_c 23.5368
_cell_angle_alpha 90.00
_cell_angle_beta 90.00
_cell_angle_gamma 120.00
loop_
_atom_site_label
_atom_site_type_symbol
_atom_site_fract_x
_atom_site_fract_y
_atom_site_fract_z
_atom_site_occupancy
Li1 Li 0.0201 0.3791 0.2139 1
P1 P 0.0029 0.7072 0.2481 1
W1 W 0.0000 0.0000 0.1523 1
W2 W 0.0000 0.0000 0.3547 1
O1 O 0.0125 0.8080 0.3013 1
O2 O 0.0601 0.8355 0.5878 1
O3 O 0.0783 0.5702 0.8632 1
O4 O 0.0918 0.5654 0.5640 1
```

The 12 most intense peaks (5° ≤ 2θ ≤ 70°), most intense first:
two_theta  I_rel  hkl
19.2  100  1 0 4
20.5  75  1 1 0
30.8  74  2 -1 6
28.2  47  0 2 4
14.0  44  0 1 2
35.2  37  3 -1 4
35.9  33  3 0 0
50.4  26  2 1 10
48.0  20  4 -2 6
45.5  19  0 2 10
56.2  18  4 1 0
61.4  18  5 -1 6



2.
Structure and theoretical powder diffraction line list of Li2P2WO8 (a DFT-relaxed cell (GGA+U, Alexandria); Cu Ka).
No peak broadening, texture or thermal motion is included.

Atomic structure:
```
data_Li2P2WO8
_chemical_formula_sum 'Li4 P4 W2 O16'
_space_group_name_H-M_alt 'P 1 c 1'
_space_group_IT_number 7
_space_group_name_Hall 'P -2yc'
_cell_length_a 5.9081
_cell_length_b 4.9785
_cell_length_c 10.2160
_cell_angle_alpha 90.00
_cell_angle_beta 90.01
_cell_angle_gamma 90.00
loop_
_atom_site_label
_atom_site_type_symbol
_atom_site_fract_x
_atom_site_fract_y
_atom_site_fract_z
_atom_site_occupancy
Li1 Li 0.0000 0.1822 0.0000 1
Li2 Li 0.0012 0.2310 0.3193 1
P1 P 0.0002 0.3300 0.6437 1
P2 P 0.5001 0.1068 0.4712 1
W1 W 0.5002 0.3136 0.7841 1
O1 O 0.0002 0.0286 0.6631 1
O2 O 0.0002 0.4250 0.5028 1
O3 O 0.2053 0.4704 0.7213 1
O4 O 0.2970 0.0485 0.9033 1
O5 O 0.5000 0.0596 0.6190 1
O6 O 0.5002 0.4054 0.4390 1
O7 O 0.7031 0.0488 0.9035 1
O8 O 0.7950 0.4704 0.7213 1
```

The 12 most intense peaks (5° ≤ 2θ ≤ 70°), most intense first:
two_theta  I_rel  hkl
19.8  100  0 1 1
25.0  78  1 1 1
15.0  71  1 0 0
35.4  59  1 1 3
23.0  58  1 0 2
17.4  39  0 0 2
36.4  34  2 1 1
30.3  33  2 0 0
50.7  23  1 1 5
29.3  20  1 1 2
31.8  20  0 1 3
40.3  20  1 2 1



3.
Structure and theoretical powder diffraction line list of LiP3W2O13 (a DFT-relaxed cell (GGA+U, Alexandria); Cu Ka).
No peak broadening, texture or thermal motion is included.

Atomic structure:
```
data_LiP3W2O13
_chemical_formula_sum 'Li2 P6 W4 O26'
_space_group_name_H-M_alt 'P -1'
_space_group_IT_number 2
_space_group_name_Hall '-P 1'
_cell_length_a 6.5103
_cell_length_b 7.6114
_cell_length_c 11.4850
_cell_angle_alpha 76.54
_cell_angle_beta 86.64
_cell_angle_gamma 79.73
loop_
_atom_site_label
_atom_site_type_symbol
_atom_site_fract_x
_atom_site_fract_y
_atom_site_fract_z
_atom_site_occupancy
Li1 Li 0.1978 0.0620 0.3218 1
P1 P 0.1212 0.9658 0.8159 1
P2 P 0.2641 0.2902 0.8320 1
P3 P 0.2667 0.4339 0.3860 1
W1 W 0.2132 0.6960 0.5959 1
W2 W 0.2357 0.6980 0.0996 1
O1 O 0.0830 0.2822 0.9233 1
O2 O 0.1060 0.3039 0.3857 1
O3 O 0.1087 0.9563 0.1643 1
O4 O 0.1297 0.8624 0.7158 1
O5 O 0.2095 0.8718 0.4646 1
O6 O 0.2240 0.6061 0.2847 1
O7 O 0.2378 0.8534 0.9271 1
O8 O 0.2421 0.4723 0.7419 1
O9 O 0.2474 0.1322 0.7599 1
O10 O 0.2571 0.4890 0.5069 1
O11 O 0.3036 0.4785 0.0755 1
O12 O 0.4763 0.2327 0.8907 1
O13 O 0.4791 0.3120 0.3706 1
```

The 12 most intense peaks (5° ≤ 2θ ≤ 70°), most intense first:
two_theta  I_rel  hkl
22.1  100  0 1 -2
16.8  90  1 1 0
17.7  79  0 1 2
21.0  55  1 1 2
27.9  53  2 0 0
26.0  48  0 2 2
19.9  37  1 -1 0
12.1  30  0 1 0
31.6  28  0 1 4
34.9  24  2 2 2
37.0  23  1 3 2
21.3  22  1 0 -2